# SrEu2Fe2O7
Computed powder diffractogram, Cu Kα. Input: a cell relaxed with GGA+U.
Peak positions follow from Bragg's law for the DFT cell and can differ from measured ones.

Top 6 peaks for 2θ from 10° to 80°, in order of rising 2θ:
d/Å  Rel. int.  hkl
3.400  21.1  1 1 3
2.812  100.0  1 1 5
2.794  62.5  2 0 0
2.142  20.6  2 0 6
1.976  34.0  2 2 0
1.616  37.1  3 1 5

Structure:
```
data_SrEu2Fe2O7
_chemical_formula_sum 'Sr4 Eu8 Fe8 O28'
_cell_length_a 5.5877
_cell_length_b 5.5877
_cell_length_c 20.0115
_cell_angle_alpha 90.00
_cell_angle_beta 90.00
_cell_angle_gamma 90.00
_symmetry_space_group_name_H-M 'P 42/m n m'
_symmetry_Int_Tables_number 136
_symmetry_space_group_name_Hall '-P 4n 2n'
loop_
_atom_site_label
_atom_site_type_symbol
_atom_site_fract_x
_atom_site_fract_y
_atom_site_fract_z
_atom_site_occupancy
Sr1 Sr 0.2448 0.2448 0.0000 1
Eu1 Eu 0.2295 0.2295 0.1841 1
Fe1 Fe 0.2455 0.2455 0.4009 1
O1 O 0.0000 0.0000 0.0892 1
O2 O 0.0000 0.0000 0.3799 1
O3 O 0.0000 0.5000 0.1048 1
O4 O 0.2022 0.7978 0.2043 1
O5 O 0.2129 0.2129 0.5000 1
```